For Li8Mn3Fe5B8O24, a DFT-relaxed cell (PBE+U, the Materials Project) gives the simulated powder X-ray diffraction pattern in this record (Cu Kα X-rays).

Structure:
Unit cell a=5.2374 b=6.0665 c=16.1497 alpha=81.76 beta=89.16 gamma=88.70
Atoms (fractional coordinates):
Li 0.0000 0.0000 0.0000
Li 0.9999 0.4983 0.5014
Li 0.3052 0.3711 0.7217
Li 0.3049 0.8722 0.2186
Li 0.5007 0.7475 0.7534
Li 0.5015 0.2487 0.2498
Li 0.8058 0.1239 0.4705
Li 0.8057 0.6241 0.9678
Mn 0.3203 0.9586 0.4002
Mn 0.4862 0.6609 0.5712
Mn 0.8210 0.7079 0.1517
Fe 0.3158 0.4577 0.9039
Fe 0.4903 0.1646 0.0687
Fe 0.8161 0.2058 0.6528
Fe 0.9905 0.9130 0.8175
Fe 0.9918 0.4113 0.3205
B 0.3228 0.6500 0.0621
B 0.3251 0.1488 0.5642
B 0.4823 0.4732 0.4071
B 0.4819 0.9752 0.9076
B 0.8239 0.3970 0.8135
B 0.8236 0.8995 0.3131
B 0.9815 0.2235 0.1578
B 0.9835 0.7215 0.6590
O 0.0625 0.6725 0.0494
O 0.0651 0.1739 0.5532
O 0.2422 0.1985 0.1678
O 0.2434 0.6992 0.6724
O 0.3345 0.6033 0.4550
O 0.3362 0.1056 0.9565
O 0.3564 0.8627 0.8509
O 0.3604 0.3595 0.3495
O 0.4408 0.7636 0.1192
O 0.4495 0.2621 0.6212
O 0.4713 0.0177 0.5161
O 0.4713 0.5172 0.0145
O 0.5632 0.4226 0.8032
O 0.5642 0.9220 0.2989
O 0.7422 0.4490 0.4187
O 0.7421 0.9493 0.9180
O 0.8338 0.8537 0.7063
O 0.8372 0.3533 0.2072
O 0.8565 0.1122 0.1005
O 0.8677 0.6075 0.6014
O 0.9389 0.0172 0.3700
O 0.9499 0.5107 0.8695
O 0.9686 0.2653 0.7648
O 0.9746 0.7646 0.2674

The 12 most intense peaks (10° ≤ 2θ ≤ 90°), in order of rising 2θ:
two_theta	Rel. int.	h k l
20.39	83	1 0 -2
20.65	23	0 1 3
22.25	31	0 0 4
22.42	61	1 1 1
30.28	22	0 2 2
33.36	100	0 2 -2
34.08	33	1 1 5
34.25	23	2 0 0
34.73	26	-1 1 5
38.06	23	1 0 -6
40.20	24	0 1 7
41.00	33	2 0 4